Diffraction record for LiHg5Bi. The X-ray diffraction stick pattern is theoretical, not measured: it uses a crystal structure in Alexandria, relaxed with GGA-PBE and Cu Kα X-rays.

The 10 most intense peaks (2θ from 15° to 90°), sorted by position:
2theta, I/Imax
29.07, 55
32.19, 99
32.98, 78
33.53, 72
34.12, 53
35.07, 81
35.42, 100
38.19, 54
40.68, 52
53.08, 54

Structural model:
a b c (Å): 8.1382 8.1382 5.8831
angles (deg): 104.04 104.04 83.75
Atoms (fractional coordinates):
Li1 0.0000 0.5000 0.0000
Li2 0.5000 0.0000 0.5000
Hg1 0.0339 0.9661 0.2500
Hg2 0.1249 0.6206 0.6663
Hg3 0.2637 0.2852 0.2867
Hg4 0.2852 0.2637 0.7867
Hg5 0.3794 0.8751 0.8337
Hg6 0.6206 0.1249 0.1663
Hg7 0.7148 0.7363 0.2133
Hg8 0.7363 0.7148 0.7133
Hg9 0.8751 0.3794 0.3337
Hg10 0.9661 0.0339 0.7500
Bi1 0.3209 0.6791 0.2500
Bi2 0.6791 0.3209 0.7500

=====

Diffraction record for Hf4TlPt. The X-ray diffraction stick pattern is theoretical, not measured: it uses a crystal structure in Alexandria, relaxed with GGA-PBE and Cu Kα X-rays.

The 10 most intense peaks (2θ from 15° to 90°), sorted by position:
2theta, I/Imax
32.49, 100
34.38, 83
46.62, 37
48.03, 66
59.19, 18
67.71, 21
69.17, 22
77.45, 17
78.52, 16
86.20, 25

Structural model:
a b c (Å): 5.5109 5.5109 8.8822
angles (deg): 90.00 90.00 90.00
Atoms (fractional coordinates):
Hf1 0.0000 0.0000 0.1721
Hf2 0.0000 0.0000 0.8279
Hf3 0.0000 0.5000 0.5657
Hf4 0.0000 0.5000 0.9343
Hf5 0.5000 0.0000 0.0657
Hf6 0.5000 0.0000 0.4343
Hf7 0.5000 0.5000 0.3279
Hf8 0.5000 0.5000 0.6721
Tl1 0.0000 0.0000 0.5000
Tl2 0.5000 0.5000 0.0000
Pt1 0.0000 0.5000 0.2500
Pt2 0.5000 0.0000 0.7500

=====

Diffraction record for BaCdGa2Au5. The X-ray diffraction stick pattern is theoretical, not measured: it uses a crystal structure in Alexandria, relaxed with GGA-PBE and Cu Kα X-rays.

The 10 most intense peaks (2θ from 15° to 90°), sorted by position:
2theta, I/Imax
27.18, 70
29.96, 50
32.32, 73
36.01, 100
47.52, 57
48.17, 37
51.85, 35
61.04, 27
62.43, 23
73.46, 21

Structural model:
a b c (Å): 4.9878 4.9878 8.9480
angles (deg): 90.00 90.00 90.00
Atoms (fractional coordinates):
Ba1 0.0000 0.0000 0.0000
Cd1 0.0000 0.0000 0.5000
Ga1 0.5000 0.5000 0.2816
Ga2 0.5000 0.5000 0.7184
Au1 0.0000 0.5000 0.3309
Au2 0.0000 0.5000 0.6691
Au3 0.5000 0.0000 0.3309
Au4 0.5000 0.0000 0.6691
Au5 0.5000 0.5000 0.0000

=====

Diffraction record for PrSm2Ho5Tm. The X-ray diffraction stick pattern is theoretical, not measured: it uses a crystal structure in Alexandria, relaxed with GGA-PBE and Cu Kα X-rays.

The 10 most intense peaks (2θ from 15° to 90°), sorted by position:
2theta, I/Imax
28.76, 95
31.16, 100
32.22, 12
34.38, 12
37.41, 29
42.86, 20
47.98, 12
52.45, 24
56.88, 20
64.85, 12

Structural model:
a b c (Å): 9.8037 9.8037 9.8037
angles (deg): 126.76 126.76 78.65
Atoms (fractional coordinates):
Pr1 0.2500 0.2500 0.0000
Pr2 0.7500 0.7500 0.0000
Sm1 0.1153 0.6153 0.7307
Sm2 0.3847 0.1153 0.5000
Sm3 0.6153 0.8847 0.5000
Sm4 0.8847 0.3847 0.2693
Ho1 0.0000 0.0000 0.0000
Ho2 0.0726 0.1560 0.5000
Ho3 0.1560 0.6560 0.0834
Ho4 0.3440 0.4274 0.5000
Ho5 0.4274 0.9274 0.0834
Ho6 0.5000 0.5000 0.0000
Ho7 0.5726 0.0726 0.9166
Ho8 0.6560 0.5726 0.5000
Ho9 0.8440 0.3440 0.9166
Ho10 0.9274 0.8440 0.5000
Tm1 0.2500 0.7500 0.5000
Tm2 0.7500 0.2500 0.5000

=====

Diffraction record for HfZrTi. The X-ray diffraction stick pattern is theoretical, not measured: it uses a crystal structure in Alexandria, relaxed with GGA-PBE and Cu Kα X-rays.

The 10 most intense peaks (2θ from 15° to 90°), sorted by position:
2theta, I/Imax
15.16, 27
22.79, 22
30.59, 38
31.92, 50
36.59, 36
37.61, 100
38.19, 53
38.49, 38
49.70, 20
59.08, 27

Structural model:
a b c (Å): 5.5650 7.8045 5.8444
angles (deg): 90.00 90.00 90.00
Atoms (fractional coordinates):
Hf1 0.1077 0.1784 0.0000
Hf2 0.3923 0.6784 0.0000
Hf3 0.6077 0.3216 0.0000
Hf4 0.8923 0.8216 0.0000
Zr1 0.1134 0.8224 0.5000
Zr2 0.3866 0.3224 0.5000
Zr3 0.6134 0.6776 0.5000
Zr4 0.8866 0.1776 0.5000
Ti1 0.0000 0.5000 0.2462
Ti2 0.0000 0.5000 0.7538
Ti3 0.5000 0.0000 0.2462
Ti4 0.5000 0.0000 0.7538

=====

Diffraction record for AcTb3Er. The X-ray diffraction stick pattern is theoretical, not measured: it uses a crystal structure in Alexandria, relaxed with GGA-PBE and Cu Kα X-rays.

The 10 most intense peaks (2θ from 15° to 90°), sorted by position:
2theta, I/Imax
30.47, 100
30.90, 99
32.34, 40
36.70, 38
37.51, 25
49.73, 33
53.49, 18
57.04, 17
62.26, 13
62.51, 13

Structural model:
a b c (Å): 4.8973 8.5958 9.4911
angles (deg): 68.63 75.08 89.99
Atoms (fractional coordinates):
Ac1 0.1157 0.1481 0.2693
Ac2 0.8843 0.8519 0.7307
Tb1 0.0568 0.6987 0.3863
Tb2 0.2271 0.6287 0.0459
Tb3 0.4150 0.5546 0.6699
Tb4 0.5850 0.4454 0.3301
Tb5 0.7729 0.3713 0.9541
Tb6 0.9432 0.3013 0.6137
Er1 0.3111 0.1106 0.8780
Er2 0.6889 0.8894 0.1220

=====

Diffraction record for Ho4CdIn3. The X-ray diffraction stick pattern is theoretical, not measured: it uses a crystal structure in Alexandria, relaxed with GGA-PBE and Cu Kα X-rays.

The 9 most intense peaks (2θ from 15° to 90°), sorted by position:
2theta, I/Imax
23.78, 3
33.88, 100
41.82, 1
48.68, 18
54.87, 2
60.63, 37
71.30, 11
76.37, 1
81.33, 16

Structural model:
a b c (Å): 3.7417 3.7417 14.9618
angles (deg): 90.00 90.00 90.00
Atoms (fractional coordinates):
Ho1 0.0000 0.0000 0.1224
Ho2 0.0000 0.0000 0.3738
Ho3 0.0000 0.0000 0.6262
Ho4 0.0000 0.0000 0.8776
Cd1 0.5000 0.5000 0.0000
In1 0.5000 0.5000 0.2470
In2 0.5000 0.5000 0.5000
In3 0.5000 0.5000 0.7530

=====

Diffraction record for InI. The X-ray diffraction stick pattern is theoretical, not measured: it uses a crystal structure in Alexandria, relaxed with GGA-PBE and Cu Kα X-rays.

The 10 most intense peaks (2θ from 15° to 90°), sorted by position:
2theta, I/Imax
21.21, 11
23.65, 66
29.85, 100
37.17, 50
38.18, 19
42.26, 12
44.53, 12
48.38, 26
57.52, 27
62.52, 16

Structural model:
a b c (Å): 4.8441 8.3677 8.5552
angles (deg): 90.00 90.00 90.00
Atoms (fractional coordinates):
In1 0.0000 0.0000 0.0000
In2 0.0000 0.0000 0.5000
In3 0.5000 0.5000 0.0000
In4 0.5000 0.5000 0.5000
I1 0.0000 0.3340 0.2500
I2 0.0000 0.6660 0.7500
I3 0.5000 0.1660 0.7500
I4 0.5000 0.8340 0.2500